Entry 1:
For LaOsN3, a DFT-relaxed cell (PBE, the Materials Project) gives the theoretical PXRD pattern in this record (Cu Ka).
Intensities are scaled so that the largest is 1000.

The 6 most intense peaks (10 to 90 degrees two-theta), by angle:
2theta, I (rel.)
26.42, 237
31.39, 217
31.92, 1000
39.60, 207
41.48, 208
56.21, 199

Crystal structure
```
LaOsN3
1.0
5.7002 0.0000 0.0000
0.0000 3.6653 0.0000
0.0000 0.0000 6.7475
La Os N
2 2 6
Direct
0.2500 0.0000 0.2078
0.7500 0.0000 0.7922
0.2500 0.5000 0.8052
0.7500 0.5000 0.1948
0.0000 0.5000 0.0000
0.0073 0.5000 0.5942
0.4927 0.5000 0.5942
0.5000 0.5000 0.0000
0.5073 0.5000 0.4058
0.9927 0.5000 0.4058
```

---

Entry 2:
For Sb, a DFT-relaxed cell (PBE, the Materials Project) gives the theoretical PXRD pattern in this record (Cu Ka).
Intensities are scaled so that the largest is 1000.

The 6 most intense peaks (10 to 90 degrees two-theta), by angle:
2theta, I (rel.)
30.41, 236
32.59, 261
34.61, 1000
54.04, 182
59.46, 204
64.55, 211

Crystal structure
```
Sb
1.0
3.3941 0.0000 0.0000
-1.6971 2.9394 0.0000
0.0000 0.0000 5.4947
Sb
2
Direct
0.3333 0.6667 0.2500
0.6667 0.3333 0.7500
```

---

Entry 3:
For SrNiSn3, a DFT-relaxed cell (PBE, the Materials Project) gives the theoretical PXRD pattern in this record (Cu Ka).
Intensities are scaled so that the largest is 1000.

The 6 most intense peaks (10 to 90 degrees two-theta), by angle:
2theta, I (rel.)
30.75, 187
31.02, 1000
37.55, 551
42.39, 225
54.15, 193
63.73, 268

Crystal structure
```
SrNiSn3
1.0
-2.3952 2.3952 5.4892
2.3952 -2.3952 5.4892
2.3952 2.3952 -5.4892
Sr Ni Sn
1 1 3
Direct
0.0000 0.0000 0.0000
0.3412 0.3412 0.0000
0.2503 0.7503 0.5000
0.5700 0.5700 0.0000
0.7503 0.2503 0.5000
```

---

Entry 4:
For YMg2Cr3S8, a DFT-relaxed cell (PBE, the Materials Project) gives the theoretical PXRD pattern in this record (Cu Ka).
Intensities are scaled so that the largest is 1000.

The 6 most intense peaks (10 to 90 degrees two-theta), by angle:
2theta, I (rel.)
14.73, 616
28.18, 247
28.37, 604
34.34, 1000
49.12, 426
49.57, 504

Crystal structure
```
YMg2Cr3S8
1.0
3.6778 2.1234 6.0835
-3.6778 2.1234 6.0835
0.0000 -4.2468 6.0835
Y Mg Cr S
1 2 3 8
Direct
0.0000 0.0000 0.0000
0.3752 0.3752 0.3752
0.6248 0.6248 0.6248
0.0000 0.0000 0.5000
0.0000 0.5000 0.0000
0.5000 0.0000 0.0000
0.2207 0.7447 0.7447
0.2360 0.2360 0.2360
0.2553 0.2553 0.7793
0.2553 0.7793 0.2553
0.7447 0.2207 0.7447
0.7447 0.7447 0.2207
0.7640 0.7640 0.7640
0.7793 0.2553 0.2553
```

---

Entry 5:
For BaNb5O8, a DFT-relaxed cell (PBE, the Materials Project) gives the theoretical PXRD pattern in this record (Cu Ka).
Intensities are scaled so that the largest is 1000.

The 6 most intense peaks (10 to 90 degrees two-theta), by angle:
2theta, I (rel.)
28.51, 1000
29.80, 840
34.32, 706
42.64, 948
43.40, 455
62.48, 565

Crystal structure
```
BaNb5O8
1.0
6.7049 0.0000 0.0000
0.0000 6.7049 0.0000
0.0000 0.0000 4.1697
Ba Nb O
1 5 8
Direct
0.0000 0.0000 0.0000
0.2119 0.5984 0.5000
0.4016 0.2119 0.5000
0.5000 0.5000 0.0000
0.5984 0.7881 0.5000
0.7881 0.4016 0.5000
0.0994 0.3011 0.5000
0.2042 0.6125 0.0000
0.3011 0.9006 0.5000
0.3875 0.2042 0.0000
0.6125 0.7958 0.0000
0.6989 0.0994 0.5000
0.7958 0.3875 0.0000
0.9006 0.6989 0.5000
```